This entry pairs a crystal structure of La3Tb2Nd4 with its calculated X-ray diffraction stick pattern. Radiation: λ = 1.5418 Å (Cu Kα). Structure: the PBE geometry in Alexandria.

```
data_La3Tb2Nd4
_chemical_formula_sum 'La3 Tb2 Nd4'
_cell_length_a 3.660
_cell_length_b 3.660
_cell_length_c 27.537
_cell_angle_alpha 90.00
_cell_angle_beta 90.00
_cell_angle_gamma 120.00
_space_group_name_H-M_alt 'P 1'
_space_group_IT_number 1
loop_
_space_group_symop_operation_xyz
'x,y,z'
loop_
_atom_site_label
_atom_site_type_symbol
_atom_site_fract_x
_atom_site_fract_y
_atom_site_fract_z
La1 La 0.000 0.000 0.000
La2 La 0.000 0.000 0.335
La3 La 0.667 0.333 0.670
Tb1 Tb 0.667 0.333 0.105
Tb2 Tb 0.667 0.333 0.888
Nd1 Nd 0.000 0.000 0.558
Nd2 Nd 0.000 0.000 0.784
Nd3 Nd 0.667 0.333 0.227
Nd4 Nd 0.667 0.333 0.450
```

Top 10 peaks for 2θ from 10° to 80°, sorted by position:
| d/Å | Position (°2θ) | I (rel.) |
| --- | --- | --- |
| 3.169 | 28.16 | 54 |
| 3.060 | 29.19 | 59 |
| 2.879 | 31.07 | 82 |
| 2.747 | 32.60 | 100 |
| 2.201 | 41.00 | 37 |
| 1.830 | 49.84 | 42 |
| 1.761 | 51.92 | 13 |
| 1.671 | 54.94 | 28 |
| 1.570 | 58.80 | 49 |
| 1.523 | 60.83 | 17 |

This entry pairs a crystal structure of La4Tb3Nd5 with its calculated X-ray diffraction stick pattern. Radiation: λ = 1.5418 Å (Cu Kα). Structure: the PBE geometry in Alexandria.

```
data_La4Tb3Nd5
_chemical_formula_sum 'La4 Tb3 Nd5'
_cell_length_a 8.833
_cell_length_b 8.833
_cell_length_c 9.543
_cell_angle_alpha 114.97
_cell_angle_beta 114.97
_cell_angle_gamma 40.30
_space_group_name_H-M_alt 'P 1'
_space_group_IT_number 1
loop_
_space_group_symop_operation_xyz
'x,y,z'
loop_
_atom_site_label
_atom_site_type_symbol
_atom_site_fract_x
_atom_site_fract_y
_atom_site_fract_z
La1 La 0.083 0.083 0.439
La2 La 0.217 0.217 0.877
La3 La 0.783 0.783 0.123
La4 La 0.917 0.917 0.561
Tb1 Tb 0.209 0.209 0.226
Tb2 Tb 0.500 0.500 0.000
Tb3 Tb 0.791 0.791 0.774
Nd1 Nd 0.000 0.000 0.000
Nd2 Nd 0.329 0.329 0.610
Nd3 Nd 0.426 0.426 0.298
Nd4 Nd 0.574 0.574 0.702
Nd5 Nd 0.671 0.671 0.390
```

Top 10 peaks for 2θ from 10° to 80°, sorted by position:
| d/Å | Position (°2θ) | I (rel.) |
| --- | --- | --- |
| 3.172 | 28.13 | 33 |
| 3.114 | 28.67 | 33 |
| 3.043 | 29.35 | 100 |
| 2.947 | 30.33 | 42 |
| 2.898 | 30.86 | 45 |
| 2.831 | 31.60 | 80 |
| 2.731 | 32.79 | 61 |
| 2.117 | 42.71 | 33 |
| 1.714 | 53.47 | 30 |
| 1.575 | 58.60 | 30 |

This entry pairs a crystal structure of La6Tb7Nd16 with its calculated X-ray diffraction stick pattern. Radiation: λ = 1.5418 Å (Cu Kα). Structure: the PBE geometry in Alexandria.

```
data_La6Tb7Nd16
_chemical_formula_sum 'La6 Tb7 Nd16'
_cell_length_a 11.416
_cell_length_b 11.416
_cell_length_c 11.416
_cell_angle_alpha 60.00
_cell_angle_beta 60.00
_cell_angle_gamma 60.00
_space_group_name_H-M_alt 'P 1'
_space_group_IT_number 1
loop_
_space_group_symop_operation_xyz
'x,y,z'
loop_
_atom_site_label
_atom_site_type_symbol
_atom_site_fract_x
_atom_site_fract_y
_atom_site_fract_z
La1 La 0.215 0.215 0.785
La2 La 0.215 0.785 0.215
La3 La 0.215 0.785 0.785
La4 La 0.785 0.215 0.215
La5 La 0.785 0.215 0.785
La6 La 0.785 0.785 0.215
Tb1 Tb 0.000 0.000 0.500
Tb2 Tb 0.000 0.500 0.000
Tb3 Tb 0.000 0.500 0.500
Tb4 Tb 0.500 0.000 0.000
Tb5 Tb 0.500 0.000 0.500
Tb6 Tb 0.500 0.500 0.000
Tb7 Tb 0.500 0.500 0.500
Nd1 Nd 0.127 0.624 0.624
Nd2 Nd 0.154 0.154 0.154
Nd3 Nd 0.154 0.154 0.539
Nd4 Nd 0.154 0.539 0.154
Nd5 Nd 0.376 0.376 0.376
Nd6 Nd 0.376 0.376 0.873
Nd7 Nd 0.376 0.873 0.376
Nd8 Nd 0.461 0.846 0.846
Nd9 Nd 0.539 0.154 0.154
Nd10 Nd 0.624 0.127 0.624
Nd11 Nd 0.624 0.624 0.127
Nd12 Nd 0.624 0.624 0.624
Nd13 Nd 0.846 0.461 0.846
Nd14 Nd 0.846 0.846 0.461
Nd15 Nd 0.846 0.846 0.846
Nd16 Nd 0.873 0.376 0.376
```

Top 10 peaks for 2θ from 10° to 80°, sorted by position:
| d/Å | Position (°2θ) | I (rel.) |
| --- | --- | --- |
| 3.296 | 27.06 | 8 |
| 3.107 | 28.73 | 21 |
| 2.854 | 31.34 | 100 |
| 2.729 | 32.82 | 7 |
| 2.102 | 43.03 | 9 |
| 2.018 | 44.91 | 13 |
| 1.648 | 55.79 | 22 |
| 1.623 | 56.73 | 8 |
| 1.561 | 59.20 | 8 |
| 1.207 | 79.41 | 7 |

This entry pairs a crystal structure of La4Tb3Nd4 with its calculated X-ray diffraction stick pattern. Radiation: λ = 1.5418 Å (Cu Kα). Structure: the PBE geometry in Alexandria.

```
data_La4Tb3Nd4
_chemical_formula_sum 'La4 Tb3 Nd4'
_cell_length_a 10.887
_cell_length_b 6.770
_cell_length_c 6.770
_cell_angle_alpha 51.10
_cell_angle_beta 90.00
_cell_angle_gamma 90.00
_space_group_name_H-M_alt 'P 1'
_space_group_IT_number 1
loop_
_space_group_symop_operation_xyz
'x,y,z'
loop_
_atom_site_label
_atom_site_type_symbol
_atom_site_fract_x
_atom_site_fract_y
_atom_site_fract_z
La1 La 0.000 0.000 0.000
La2 La 0.200 0.803 0.803
La3 La 0.500 0.933 0.933
La4 La 0.800 0.803 0.803
Tb1 Tb 0.000 0.296 0.296
Tb2 Tb 0.291 0.454 0.454
Tb3 Tb 0.709 0.454 0.454
Nd1 Nd 0.000 0.589 0.589
Nd2 Nd 0.303 0.150 0.150
Nd3 Nd 0.500 0.656 0.656
Nd4 Nd 0.697 0.150 0.150
```

Top 10 peaks for 2θ from 10° to 80°, sorted by position:
| d/Å | Position (°2θ) | I (rel.) |
| --- | --- | --- |
| 2.989 | 29.90 | 38 |
| 2.941 | 30.40 | 19 |
| 2.920 | 30.62 | 40 |
| 2.847 | 31.42 | 100 |
| 2.722 | 32.91 | 14 |
| 2.072 | 43.69 | 14 |
| 1.773 | 51.55 | 12 |
| 1.671 | 54.95 | 29 |
| 1.519 | 61.01 | 16 |
| 1.515 | 61.16 | 14 |

This entry pairs a crystal structure of LaTb2Nd7 with its calculated X-ray diffraction stick pattern. Radiation: λ = 1.5418 Å (Cu Kα). Structure: the PBE geometry in Alexandria.

```
data_LaTb2Nd7
_chemical_formula_sum 'La1 Tb2 Nd7'
_cell_length_a 6.623
_cell_length_b 6.780
_cell_length_c 8.616
_cell_angle_alpha 73.26
_cell_angle_beta 71.66
_cell_angle_gamma 83.39
_space_group_name_H-M_alt 'P 1'
_space_group_IT_number 1
loop_
_space_group_symop_operation_xyz
'x,y,z'
loop_
_atom_site_label
_atom_site_type_symbol
_atom_site_fract_x
_atom_site_fract_y
_atom_site_fract_z
La1 La 0.000 0.000 0.000
Tb1 Tb 0.426 0.142 0.638
Tb2 Tb 0.574 0.858 0.362
Nd1 Nd 0.000 0.000 0.500
Nd2 Nd 0.203 0.595 0.770
Nd3 Nd 0.227 0.541 0.343
Nd4 Nd 0.422 0.237 0.060
Nd5 Nd 0.578 0.763 0.940
Nd6 Nd 0.773 0.459 0.657
Nd7 Nd 0.797 0.405 0.230
```

Top 10 peaks for 2θ from 10° to 80°, sorted by position:
| d/Å | Position (°2θ) | I (rel.) |
| --- | --- | --- |
| 3.028 | 29.50 | 41 |
| 2.931 | 30.50 | 58 |
| 2.913 | 30.69 | 100 |
| 2.856 | 31.32 | 92 |
| 2.753 | 32.53 | 12 |
| 2.153 | 41.97 | 15 |
| 2.063 | 43.90 | 13 |
| 1.978 | 45.88 | 14 |
| 1.701 | 53.90 | 26 |
| 1.666 | 55.12 | 17 |

This entry pairs a crystal structure of LaTb5NdTh2 with its calculated X-ray diffraction stick pattern. Radiation: λ = 1.5418 Å (Cu Kα). Structure: the PBE geometry in Alexandria.

```
data_LaTb5NdTh2
_chemical_formula_sum 'La2 Tb10 Nd2 Th4'
_cell_length_a 9.973
_cell_length_b 9.973
_cell_length_c 9.973
_cell_angle_alpha 126.84
_cell_angle_beta 126.84
_cell_angle_gamma 78.51
_space_group_name_H-M_alt 'P 1'
_space_group_IT_number 1
loop_
_space_group_symop_operation_xyz
'x,y,z'
loop_
_atom_site_label
_atom_site_type_symbol
_atom_site_fract_x
_atom_site_fract_y
_atom_site_fract_z
La1 La 0.250 0.250 0.000
La2 La 0.750 0.750 0.000
Tb1 Tb 0.000 0.000 0.000
Tb2 Tb 0.070 0.570 0.911
Tb3 Tb 0.159 0.070 0.500
Tb4 Tb 0.341 0.841 0.911
Tb5 Tb 0.430 0.341 0.500
Tb6 Tb 0.500 0.500 0.000
Tb7 Tb 0.570 0.659 0.500
Tb8 Tb 0.659 0.159 0.089
Tb9 Tb 0.841 0.930 0.500
Tb10 Tb 0.930 0.430 0.089
Nd1 Nd 0.250 0.750 0.500
Nd2 Nd 0.750 0.250 0.500
Th1 Th 0.119 0.381 0.500
Th2 Th 0.381 0.881 0.262
Th3 Th 0.619 0.119 0.738
Th4 Th 0.881 0.619 0.500
```

Top 10 peaks for 2θ from 10° to 80°, sorted by position:
| d/Å | Position (°2θ) | I (rel.) |
| --- | --- | --- |
| 3.155 | 28.29 | 100 |
| 2.920 | 30.62 | 79 |
| 2.822 | 31.71 | 17 |
| 2.443 | 36.78 | 43 |
| 2.144 | 42.16 | 23 |
| 1.931 | 47.06 | 18 |
| 1.773 | 51.55 | 17 |
| 1.647 | 55.82 | 22 |
| 1.460 | 63.72 | 18 |
| 1.222 | 78.25 | 19 |